Starting from a DFT-relaxed cell (PBE, Alexandria), the PXRD pattern of PmSnSe was calculated for CuKα.
Peak positions follow from Bragg's law for the DFT cell and can differ from measured ones.

Cell and atoms:
Unit cell a=9.861 b=9.861 c=9.861 alpha=155.70 beta=155.70 gamma=34.63
Element x y z (fractional)
Pm1 0.152 0.152 0.000
Pm2 0.848 0.848 0.000
Sn1 0.000 0.500 0.500
Sn2 0.500 0.000 0.500
Se1 0.313 0.313 0.000
Se2 0.687 0.687 0.000

Top 12 peaks for 10° ≤ 2θ ≤ 90°, most intense first:
Position (°2θ)	I_rel
31.94	100
36.06	79
28.44	60
43.61	50
52.89	43
39.94	29
58.24	23
72.74	20
75.13	19
70.88	18
60.61	17
63.37	17